For HPbCSNO, a DFT-relaxed cell (GGA-PBE, Alexandria) gives the theoretical X-ray powder pattern in this record (copper Kα).
Intensities are scaled so that the largest is 100.

Top 12 peaks for 2θ from 10° to 80°, low angle first:
2theta, d/Å, intensity, index
12.78, 6.927, 79, 1 0 1
18.23, 4.867, 69, 1 0 2
22.13, 4.017, 24, 2 0 1
24.38, 3.651, 58, 1 1 1
27.70, 3.221, 63, 1 1 2
29.49, 3.028, 42, 2 1 0
30.80, 2.903, 100, 2 0 3
40.97, 2.203, 29, 3 1 2
42.70, 2.117, 21, 2 1 4
44.96, 2.016, 25, 1 1 5
53.06, 1.726, 24, 2 2 3
58.68, 1.573, 21, 2 0 7

Atomic structure:
a b c (Å): 8.5389 4.2964 11.8454
angles (deg): 90.00 90.00 90.00
Space group Pnma (No. 62)
Asymmetric unit:
H 0.2004 0.2500 0.0540 [4 per cell]
Pb 0.1380 0.7500 0.8995 [4 per cell]
C 0.0616 0.2500 0.6281 [4 per cell]
S 0.0713 0.7500 0.2726 [4 per cell]
N 0.1602 0.2500 0.5577 [4 per cell]
O 0.1110 0.2500 0.0023 [4 per cell]